# 1
# Sm5DySc3
Computed X-ray diffraction stick pattern, λ = 1.5418 Å (Cu Kα). Input: the GGA-PBE geometry in Alexandria.

Crystal structure
```
Sm5DySc3
1.0
7.3380 -5.6572 0.0000
7.3380 5.6572 0.0000
-6.1186 0.0000 7.3981
Sm Dy Sc
10 2 6
Cartesian
3.7410 2.8576 1.9302
1.8920 0.0000 1.7504
0.0240 0.0000 4.3534
7.3380 2.8657 0.0000
4.8164 2.8576 5.4680
3.7410 -2.8576 1.9302
7.3380 -2.8657 0.0000
8.5334 0.0000 3.0447
6.6654 0.0000 5.6478
4.8164 -2.8576 5.4680
-1.7927 0.0000 7.0807
10.3500 0.0000 0.3175
-3.0593 0.0000 3.6991
-4.9125 0.0000 6.0885
3.1825 0.0000 4.7625
7.3380 0.0000 0.0000
5.3748 0.0000 2.6356
13.4699 0.0000 1.3097
```

Main lines, in order of rising 2θ (2θ = 10–80°):
22.23 deg, 3.999 Å, intensity 66.6; 29.29 deg, 3.049 Å, intensity 42.3; 29.80 deg, 2.998 Å, intensity 55.8; 31.63 deg, 2.828 Å, intensity 100.0; 32.83 deg, 2.728 Å, intensity 44.8; 32.98 deg, 2.716 Å, intensity 39.0; 33.43 deg, 2.680 Å, intensity 45.6; 35.49 deg, 2.529 Å, intensity 57.8; 40.00 deg, 2.254 Å, intensity 28.6; 40.50 deg, 2.227 Å, intensity 38.1

=====

# 2
# Sm3Dy4Sc2
Computed X-ray diffraction stick pattern, λ = 1.5418 Å (Cu Kα). Input: the GGA-PBE geometry in Alexandria.

Crystal structure
```
Sm3Dy4Sc2
1.0
8.4028 -1.7464 0.0000
8.4028 1.7464 0.0000
-1.6879 0.0000 9.4165
Sm Dy Sc
3 4 2
Cartesian
0.0000 0.0000 0.0000
1.6578 0.0000 5.5587
13.4599 0.0000 3.8577
2.5593 0.0000 2.1441
7.0355 0.0000 6.3622
8.0821 0.0000 3.0543
12.5584 0.0000 7.2724
5.4556 0.0000 0.7323
9.6621 0.0000 8.6842
```

Main lines, in order of rising 2θ (2θ = 10–80°):
30.29 deg, 2.951 Å, intensity 54.3; 31.79 deg, 2.815 Å, intensity 42.0; 32.24 deg, 2.777 Å, intensity 63.5; 32.48 deg, 2.757 Å, intensity 59.9; 32.64 deg, 2.743 Å, intensity 100.0; 34.31 deg, 2.614 Å, intensity 36.5; 38.22 deg, 2.355 Å, intensity 25.7; 47.63 deg, 1.909 Å, intensity 25.0; 58.28 deg, 1.583 Å, intensity 21.1; 63.05 deg, 1.474 Å, intensity 32.4

=====

# 3
# Sm7Dy4Sc
Computed X-ray diffraction stick pattern, λ = 1.5418 Å (Cu Kα). Input: the GGA-PBE geometry in Alexandria.

Crystal structure
```
Sm7Dy4Sc
1.0
6.2379 0.0000 0.0000
0.0040 7.1989 0.0000
2.0819 0.0038 8.6308
Sm Dy Sc
7 4 1
Cartesian
0.0000 0.0000 0.0000
2.0593 3.5986 2.8673
3.1226 5.3892 5.7701
5.1952 1.8061 8.6271
3.1287 5.3967 0.0037
5.2012 1.8135 2.8607
6.2646 3.6041 5.7635
2.0956 7.1979 2.8948
3.1193 1.8131 5.7800
5.2045 5.3897 2.8508
6.2282 0.0049 5.7360
0.0020 3.5995 0.0000
```

Main lines, in order of rising 2θ (2θ = 10–80°):
28.84 deg, 3.096 Å, intensity 30.9; 29.47 deg, 3.031 Å, intensity 26.3; 31.09 deg, 2.877 Å, intensity 51.1; 31.86 deg, 2.809 Å, intensity 100.0; 33.55 deg, 2.671 Å, intensity 86.0; 50.71 deg, 1.800 Å, intensity 38.8; 54.68 deg, 1.679 Å, intensity 22.2; 57.98 deg, 1.591 Å, intensity 17.4; 60.68 deg, 1.526 Å, intensity 45.3; 61.14 deg, 1.516 Å, intensity 15.5

=====

# 4
# Sm6DySc
Computed X-ray diffraction stick pattern, λ = 1.5418 Å (Cu Kα). Input: the GGA-PBE geometry in Alexandria.

Crystal structure
```
Sm6DySc
1.0
5.0524 0.0000 0.0000
0.0000 5.0524 0.0000
0.0000 0.0000 10.0889
Sm Dy Sc
6 1 1
Cartesian
0.0000 0.0000 0.0000
0.0000 0.0000 5.0444
0.0000 2.5262 2.4731
0.0000 2.5262 7.6157
2.5262 0.0000 2.4731
2.5262 0.0000 7.6157
2.5262 2.5262 5.0444
2.5262 2.5262 0.0000
```

Main lines, in order of rising 2θ (2θ = 10–80°):
17.56 deg, 5.050 Å, intensity 2.0; 19.65 deg, 4.518 Å, intensity 3.1; 26.48 deg, 3.366 Å, intensity 2.9; 30.67 deg, 2.915 Å, intensity 100.0; 35.56 deg, 2.525 Å, intensity 50.5; 51.16 deg, 1.785 Å, intensity 35.7; 60.84 deg, 1.523 Å, intensity 42.2; 63.86 deg, 1.458 Å, intensity 12.1; 75.23 deg, 1.263 Å, intensity 3.8; 75.37 deg, 1.261 Å, intensity 1.8

=====

# 5
# Sm7Dy16Sc6
Computed X-ray diffraction stick pattern, λ = 1.5418 Å (Cu Kα). Input: the GGA-PBE geometry in Alexandria.

Crystal structure
```
Sm7Dy16Sc6
1.0
0.0000 7.7910 7.7910
7.7910 0.0000 7.7910
7.7910 7.7910 0.0000
Sm Dy Sc
7 16 6
Cartesian
0.0000 0.0000 0.0000
3.8955 3.8955 0.0000
3.8955 0.0000 3.8955
7.7910 3.8955 3.8955
0.0000 3.8955 3.8955
3.8955 7.7910 3.8955
3.8955 3.8955 7.7910
10.0283 5.5538 5.5538
1.9793 1.9793 1.9793
5.8117 5.8117 1.9793
5.8117 1.9793 5.8117
5.5538 5.5538 5.5538
10.0283 10.0283 5.5538
10.0283 5.5538 10.0283
13.6027 9.7703 9.7703
1.9793 5.8117 5.8117
5.5538 10.0283 5.5538
5.5538 5.5538 10.0283
10.0283 10.0283 10.0283
9.7703 13.6027 9.7703
9.7703 9.7703 13.6027
13.6027 13.6027 13.6027
5.5538 10.0283 10.0283
7.7910 7.7910 3.9413
7.7910 3.9413 7.7910
11.6407 7.7910 7.7910
3.9413 7.7910 7.7910
7.7910 11.6407 7.7910
7.7910 7.7910 11.6407
```

Main lines, in order of rising 2θ (2θ = 10–80°):
11.36 deg, 7.791 Å, intensity 6.5; 19.74 deg, 4.498 Å, intensity 9.9; 22.83 deg, 3.896 Å, intensity 11.2; 32.51 deg, 2.755 Å, intensity 100.0; 38.32 deg, 2.349 Å, intensity 6.7; 41.80 deg, 2.161 Å, intensity 6.2; 46.63 deg, 1.948 Å, intensity 15.7; 57.99 deg, 1.590 Å, intensity 29.7; 68.08 deg, 1.377 Å, intensity 8.2; 77.48 deg, 1.232 Å, intensity 9.5

=====

# 6
# Sm2Dy8Sc3
Computed X-ray diffraction stick pattern, λ = 1.5418 Å (Cu Kα). Input: the GGA-PBE geometry in Alexandria.

Crystal structure
```
Sm2Dy8Sc3
1.0
6.5825 -5.6021 0.0000
6.5825 5.6021 0.0000
-2.4349 0.0000 5.4097
Sm Dy Sc
2 8 3
Cartesian
1.5464 0.0000 1.8481
9.1837 0.0000 3.5616
-0.7484 0.0000 4.1918
3.6845 2.6120 1.8998
2.6302 0.0000 4.7998
7.0456 2.6120 3.5099
3.6845 -2.6120 1.8998
8.0999 0.0000 0.6099
7.0456 -2.6120 3.5099
11.4785 0.0000 1.2178
6.5825 2.9597 0.0000
5.3650 0.0000 2.7048
6.5825 -2.9597 0.0000
```

Main lines, in order of rising 2θ (2θ = 10–80°):
23.28 deg, 3.821 Å, intensity 10.9; 29.77 deg, 3.001 Å, intensity 13.5; 30.85 deg, 2.898 Å, intensity 19.0; 31.82 deg, 2.812 Å, intensity 100.0; 31.95 deg, 2.801 Å, intensity 40.6; 33.84 deg, 2.649 Å, intensity 19.1; 34.23 deg, 2.619 Å, intensity 12.9; 39.28 deg, 2.294 Å, intensity 11.6; 40.99 deg, 2.202 Å, intensity 15.9; 56.86 deg, 1.619 Å, intensity 13.4

=====

# 7
# SmDy4Sc4
Computed X-ray diffraction stick pattern, λ = 1.5418 Å (Cu Kα). Input: the GGA-PBE geometry in Alexandria.

Crystal structure
```
SmDy4Sc4
1.0
-5.1469 5.1469 2.4111
5.1469 -5.1469 2.4111
5.1469 5.1469 -2.4111
Sm Dy Sc
1 4 4
Cartesian
0.0000 0.0000 0.0000
3.3872 0.0000 0.0000
6.9067 0.0000 0.0000
0.0000 3.3872 0.0000
0.0000 6.9067 0.0000
3.4234 3.4234 0.0000
1.7235 -1.7235 2.4111
-1.7235 1.7235 2.4111
1.7235 1.7235 2.4111
```

Main lines, in order of rising 2θ (2θ = 10–80°):
17.23 deg, 5.147 Å, intensity 9.5; 20.34 deg, 4.367 Å, intensity 16.5; 32.01 deg, 2.796 Å, intensity 100.0; 37.05 deg, 2.426 Å, intensity 33.5; 37.29 deg, 2.411 Å, intensity 16.5; 53.40 deg, 1.716 Å, intensity 11.5; 53.59 deg, 1.710 Å, intensity 22.8; 63.63 deg, 1.462 Å, intensity 26.8; 63.96 deg, 1.456 Å, intensity 13.7; 66.94 deg, 1.398 Å, intensity 11.5

=====

# 8
# Sm3Dy8Sc3
Computed X-ray diffraction stick pattern, λ = 1.5418 Å (Cu Kα). Input: the GGA-PBE geometry in Alexandria.

Crystal structure
```
Sm3Dy8Sc3
1.0
-2.6908 4.7926 8.5973
2.6908 -4.7926 8.5973
2.6908 4.7926 -8.5973
Sm Dy Sc
3 8 3
Cartesian
0.0000 0.0000 0.0000
2.6908 2.4696 0.0000
0.0000 2.3230 8.5973
2.6908 -2.5193 6.4632
2.6908 3.2980 -3.4479
0.0000 2.2733 2.1341
0.0000 1.4946 5.1494
2.6908 3.2980 3.4479
2.6908 2.5193 6.4632
0.0000 1.4946 12.0452
0.0000 7.3119 2.1341
2.6908 0.0000 2.9286
0.0000 4.7926 0.0000
0.0000 4.7926 5.6687
```

Main lines, in order of rising 2θ (2θ = 10–80°):
18.51 deg, 4.793 Å, intensity 79.8; 18.91 deg, 4.693 Å, intensity 36.4; 29.42 deg, 3.036 Å, intensity 91.6; 30.86 deg, 2.898 Å, intensity 94.1; 32.59 deg, 2.747 Å, intensity 33.4; 33.30 deg, 2.691 Å, intensity 83.8; 34.27 deg, 2.617 Å, intensity 34.1; 36.23 deg, 2.480 Å, intensity 100.0; 38.41 deg, 2.343 Å, intensity 54.8; 62.80 deg, 1.480 Å, intensity 31.7